Record 1
This entry pairs a crystal structure of PtXeF11 with its theoretical powder diffractogram. Radiation: λ = 1.5418 Å (Cu Kα). Structure: a crystal structure in the Materials Project, relaxed with GGA-PBE.
Peak positions follow from Bragg's law for the DFT cell and can differ from measured ones.

Atomic structure:
Cell lengths 17.1138, 8.3705, 5.8014 Å; angles 90.00, 90.00, 90.00 degrees
Atoms (fractional coordinates):
Pt 0.0401 0.2500 0.2185
Pt 0.4599 0.7500 0.7185
Pt 0.5401 0.2500 0.2815
Pt 0.9599 0.7500 0.7815
Xe 0.1508 0.7500 0.3049
Xe 0.3492 0.2500 0.8049
Xe 0.6508 0.7500 0.1951
Xe 0.8492 0.2500 0.6951
F 0.0104 0.7500 0.4774
F 0.0381 0.0206 0.2194
F 0.0381 0.4794 0.2194
F 0.0630 0.7500 0.9309
F 0.0915 0.2500 0.9279
F 0.1396 0.2500 0.3661
F 0.1486 0.5826 0.5472
F 0.1486 0.9174 0.5472
F 0.1886 0.5851 0.0853
F 0.1886 0.9149 0.0853
F 0.2367 0.2500 0.8888
F 0.2633 0.7500 0.3888
F 0.3114 0.0851 0.5853
F 0.3114 0.4149 0.5853
F 0.3514 0.0826 0.0472
F 0.3514 0.4174 0.0472
F 0.3604 0.7500 0.8661
F 0.4085 0.7500 0.4279
F 0.4370 0.2500 0.4309
F 0.4619 0.5206 0.7194
F 0.4619 0.9794 0.7194
F 0.4896 0.2500 0.9774
F 0.5104 0.7500 0.0226
F 0.5381 0.0206 0.2806
F 0.5381 0.4794 0.2806
F 0.5630 0.7500 0.5691
F 0.5915 0.2500 0.5721
F 0.6396 0.2500 0.1339
F 0.6486 0.5826 0.9528
F 0.6486 0.9174 0.9528
F 0.6886 0.5851 0.4147
F 0.6886 0.9149 0.4147
F 0.7367 0.2500 0.6112
F 0.7633 0.7500 0.1112
F 0.8114 0.0851 0.9147
F 0.8114 0.4149 0.9147
F 0.8514 0.0826 0.4528
F 0.8514 0.4174 0.4528
F 0.8604 0.7500 0.6339
F 0.9085 0.7500 0.0721
F 0.9370 0.2500 0.0691
F 0.9619 0.5206 0.7806
F 0.9619 0.9794 0.7806
F 0.9896 0.2500 0.5226

Most intense lines, 10° ≤ 2θ ≤ 90°, low angle first:
2θ = 10.34°, d 8.557, I = 49
2θ = 18.48°, d 4.802, I = 73
2θ = 21.23°, d 4.185, I = 60
2θ = 21.33°, d 4.165, I = 100
2θ = 23.35°, d 3.810, I = 51
2θ = 28.02°, d 3.184, I = 30
2θ = 28.29°, d 3.155, I = 34
2θ = 33.16°, d 2.702, I = 24
2θ = 37.27°, d 2.412, I = 18
2θ = 39.03°, d 2.308, I = 18
2θ = 45.92°, d 1.976, I = 17
2θ = 50.43°, d 1.810, I = 16

Record 2
This entry pairs a crystal structure of YPtF7 with its theoretical powder diffractogram. Radiation: λ = 1.5418 Å (Cu Kα). Structure: a crystal structure in the Materials Project, relaxed with GGA-PBE.
Peak positions follow from Bragg's law for the DFT cell and can differ from measured ones.

Atomic structure:
Cell lengths 8.9543, 5.5425, 12.0402 Å; angles 90.00, 117.62, 90.00 degrees
Atoms (fractional coordinates):
Y 0.1847 0.2363 0.2631
Y 0.1847 0.2637 0.7631
Y 0.8153 0.7363 0.2369
Y 0.8153 0.7637 0.7369
Pt 0.2729 0.7412 0.0420
Pt 0.2729 0.7588 0.5420
Pt 0.7271 0.2412 0.4580
Pt 0.7271 0.2588 0.9580
F 0.0256 0.7376 0.9478
F 0.0256 0.7624 0.4478
F 0.0319 0.5939 0.7315
F 0.0319 0.9061 0.2315
F 0.2590 0.5496 0.1747
F 0.2590 0.9504 0.6747
F 0.2703 0.0347 0.1327
F 0.2703 0.4653 0.6327
F 0.2812 0.0583 0.4566
F 0.2812 0.4417 0.9566
F 0.2904 0.5618 0.4124
F 0.2904 0.9382 0.9124
F 0.4795 0.2327 0.3615
F 0.4795 0.2673 0.8615
F 0.5205 0.7327 0.1385
F 0.5205 0.7673 0.6385
F 0.7096 0.0618 0.0876
F 0.7096 0.4382 0.5876
F 0.7188 0.5583 0.0434
F 0.7188 0.9417 0.5434
F 0.7297 0.5347 0.3673
F 0.7297 0.9653 0.8673
F 0.7410 0.0496 0.3253
F 0.7410 0.4504 0.8253
F 0.9681 0.0939 0.7685
F 0.9681 0.4061 0.2685
F 0.9744 0.2376 0.5522
F 0.9744 0.2624 0.0522

Most intense lines, 10° ≤ 2θ ≤ 90°, low angle first:
2θ = 19.54°, d 4.544, I = 20
2θ = 20.81°, d 4.269, I = 15
2θ = 22.08°, d 4.027, I = 100
2θ = 22.41°, d 3.967, I = 44
2θ = 23.14°, d 3.843, I = 16
2θ = 29.00°, d 3.079, I = 27
2θ = 29.99°, d 2.980, I = 13
2θ = 32.30°, d 2.771, I = 15
2θ = 34.14°, d 2.626, I = 14
2θ = 44.66°, d 2.029, I = 15
2θ = 48.24°, d 1.887, I = 15
2θ = 51.90°, d 1.762, I = 13

Record 3
This entry pairs a crystal structure of PuF3 with its theoretical powder diffractogram. Radiation: λ = 1.5418 Å (Cu Kα). Structure: a crystal structure in the Materials Project, relaxed with GGA-PBE.
Peak positions follow from Bragg's law for the DFT cell and can differ from measured ones.

Atomic structure:
Cell lengths 4.1405, 4.1405, 7.2123 Å; angles 90.00, 90.00, 120.00 degrees
Atoms (fractional coordinates):
Pu 0.3333 0.6667 0.2500
Pu 0.6667 0.3333 0.7500
F 0.0000 0.0000 0.2500
F 0.0000 0.0000 0.7500
F 0.3333 0.6667 0.5778
F 0.3333 0.6667 0.9222
F 0.6667 0.3333 0.0778
F 0.6667 0.3333 0.4222

Most intense lines, 10° ≤ 2θ ≤ 90°, low angle first:
2θ = 24.69°, d 3.606, I = 35
2θ = 24.83°, d 3.586, I = 26
2θ = 27.79°, d 3.211, I = 100
2θ = 35.30°, d 2.543, I = 12
2θ = 43.73°, d 2.070, I = 37
2θ = 45.42°, d 1.997, I = 43
2θ = 50.87°, d 1.795, I = 35
2θ = 52.60°, d 1.740, I = 19
2θ = 64.88°, d 1.437, I = 15
2θ = 69.08°, d 1.360, I = 13
2θ = 70.73°, d 1.332, I = 16
2θ = 81.53°, d 1.181, I = 16

Record 4
This entry pairs a crystal structure of RbF with its theoretical powder diffractogram. Radiation: λ = 1.5418 Å (Cu Kα). Structure: a crystal structure in the Materials Project, relaxed with GGA-PBE.
Peak positions follow from Bragg's law for the DFT cell and can differ from measured ones.

Atomic structure:
Cell lengths 4.0580, 4.0580, 4.0580 Å; angles 60.00, 60.00, 60.00 degrees
Atoms (fractional coordinates):
Rb 0.0000 0.0000 0.0000
F 0.5000 0.5000 0.5000

Most intense lines, 10° ≤ 2θ ≤ 90°, low angle first:
2θ = 26.91°, d 3.313, I = 75
2θ = 31.17°, d 2.869, I = 100
2θ = 44.66°, d 2.029, I = 70
2θ = 52.91°, d 1.730, I = 36
2θ = 55.46°, d 1.657, I = 24
2θ = 65.00°, d 1.435, I = 11
2θ = 71.68°, d 1.317, I = 16
2θ = 73.85°, d 1.283, I = 29
2θ = 82.31°, d 1.171, I = 22
2θ = 88.53°, d 1.104, I = 13

Record 5
This entry pairs a crystal structure of RbF2 with its theoretical powder diffractogram. Radiation: λ = 1.5418 Å (Cu Kα). Structure: a crystal structure in the Materials Project, relaxed with GGA-PBE.
Peak positions follow from Bragg's law for the DFT cell and can differ from measured ones.

Atomic structure:
Cell lengths 5.2291, 5.2291, 5.3692 Å; angles 90.00, 90.00, 90.00 degrees
Atoms (fractional coordinates):
Rb 0.0000 0.0000 0.0000
Rb 0.5000 0.5000 0.5000
F 0.1338 0.1338 0.5000
F 0.3662 0.6338 0.0000
F 0.6338 0.3662 0.0000
F 0.8662 0.8662 0.5000

Most intense lines, 10° ≤ 2θ ≤ 90°, low angle first:
2θ = 23.75°, d 3.746, I = 65
2θ = 24.07°, d 3.698, I = 100
2θ = 33.38°, d 2.685, I = 31
2θ = 34.30°, d 2.615, I = 24
2θ = 41.57°, d 2.172, I = 44
2θ = 42.15°, d 2.144, I = 64
2θ = 48.61°, d 1.873, I = 18
2θ = 55.42°, d 1.658, I = 23
2θ = 60.84°, d 1.523, I = 10
2θ = 65.70°, d 1.421, I = 17
2θ = 66.82°, d 1.400, I = 14
2θ = 77.30°, d 1.234, I = 15

Record 6
This entry pairs a crystal structure of RbF with its theoretical powder diffractogram. Radiation: λ = 1.5418 Å (Cu Kα). Structure: a crystal structure in the Materials Project, relaxed with GGA-PBE.
Peak positions follow from Bragg's law for the DFT cell and can differ from measured ones.

Atomic structure:
Cell lengths 3.4550, 3.4550, 3.4550 Å; angles 90.00, 90.00, 90.00 degrees
Atoms (fractional coordinates):
Rb 0.0000 0.0000 0.0000
F 0.5000 0.5000 0.5000

Most intense lines, 10° ≤ 2θ ≤ 90°, low angle first:
2θ = 25.79°, d 3.455, I = 50
2θ = 36.79°, d 2.443, I = 100
2θ = 45.47°, d 1.995, I = 15
2θ = 53.01°, d 1.727, I = 16
2θ = 59.86°, d 1.545, I = 20
2θ = 66.26°, d 1.410, I = 32
2θ = 78.27°, d 1.222, I = 10
2θ = 84.04°, d 1.152, I = 11
2θ = 89.76°, d 1.093, I = 14

Record 7
This entry pairs a crystal structure of Rb2ReF6 with its theoretical powder diffractogram. Radiation: λ = 1.5418 Å (Cu Kα). Structure: a crystal structure in the Materials Project, relaxed with GGA-PBE.
Peak positions follow from Bragg's law for the DFT cell and can differ from measured ones.

Atomic structure:
Cell lengths 6.1480, 6.1480, 4.9065 Å; angles 90.00, 90.00, 120.00 degrees
Atoms (fractional coordinates):
Rb 0.3333 0.6667 0.2983
Rb 0.6667 0.3333 0.7017
Re 0.0000 0.0000 0.0000
F 0.1576 0.3153 0.7808
F 0.1576 0.8424 0.7808
F 0.3153 0.1576 0.2192
F 0.6847 0.8424 0.7808
F 0.8424 0.1576 0.2192
F 0.8424 0.6847 0.2192

Most intense lines, 10° ≤ 2θ ≤ 90°, low angle first:
2θ = 16.65°, d 5.324, I = 33
2θ = 18.08°, d 4.906, I = 14
2θ = 24.67°, d 3.608, I = 100
2θ = 29.05°, d 3.074, I = 57
2θ = 38.47°, d 2.340, I = 52
2θ = 40.49°, d 2.228, I = 29
2θ = 48.92°, d 1.862, I = 30
2θ = 50.60°, d 1.804, I = 23
2θ = 59.40°, d 1.556, I = 22
2θ = 60.21°, d 1.537, I = 15
2θ = 64.54°, d 1.444, I = 13
2θ = 66.07°, d 1.414, I = 13

Record 8
This entry pairs a crystal structure of Rb2TlRhF6 with its theoretical powder diffractogram. Radiation: λ = 1.5418 Å (Cu Kα). Structure: a crystal structure in the Materials Project, relaxed with GGA-PBE.
Peak positions follow from Bragg's law for the DFT cell and can differ from measured ones.

Atomic structure:
Cell lengths 6.5486, 6.5486, 6.5486 Å; angles 60.00, 60.00, 60.00 degrees
Atoms (fractional coordinates):
Rb 0.2500 0.2500 0.2500
Rb 0.7500 0.7500 0.7500
Tl 0.0000 0.0000 0.0000
Rh 0.5000 0.5000 0.5000
F 0.2815 0.2815 0.7185
F 0.2815 0.7185 0.2815
F 0.2815 0.7185 0.7185
F 0.7185 0.2815 0.2815
F 0.7185 0.2815 0.7185
F 0.7185 0.7185 0.2815

Most intense lines, 10° ≤ 2θ ≤ 90°, low angle first:
2θ = 19.17°, d 4.631, I = 18
2θ = 27.24°, d 3.274, I = 100
2θ = 32.05°, d 2.792, I = 7
2θ = 38.90°, d 2.315, I = 33
2θ = 42.55°, d 2.125, I = 5
2θ = 43.71°, d 2.071, I = 8
2θ = 48.13°, d 1.890, I = 41
2θ = 56.18°, d 1.637, I = 21
2θ = 63.53°, d 1.464, I = 20
2θ = 70.44°, d 1.337, I = 7
2θ = 77.06°, d 1.238, I = 23
2θ = 89.87°, d 1.091, I = 11